Theoretical powder XRD pattern of Bi11PO20 for copper Kα, from the GGA-PBE geometry in the Materials Project.

Principal peaks in the range 2θ from 15° to 90°, low angle first:
hkl	two_theta	d [Å]	intensity
0 2 -2	24.3	3.662	54.1
1 2 -1	26.9	3.318	79.8
2 1 -2	27.1	3.294	86.7
-1 1 2	27.3	3.271	58.9
-2 2 1	27.5	3.238	100.0
1 -2 2	27.6	3.226	61.4
2 -1 1	27.9	3.203	89.2
1 1 1	29.9	2.989	94.6
1 0 -3	32.5	2.759	61.5
3 0 -2	32.6	2.749	57.1

Structural model:
```
data_Bi11PO20
_cell_length_a 8.810
_cell_length_b 8.954
_cell_length_c 8.971
_cell_angle_alpha 109.78
_cell_angle_beta 110.49
_cell_angle_gamma 107.71
_space_group_name_H-M_alt 'P 1'
_space_group_IT_number 1
loop_
_space_group_symop_operation_xyz
'x,y,z'
loop_
_atom_site_label
_atom_site_fract_x
_atom_site_fract_y
_atom_site_fract_z
_atom_site_occupancy
Bi1 0.000 0.000 0.000 1
Bi2 0.001 0.452 0.170 1
Bi3 0.308 0.800 0.084 1
Bi4 0.362 0.160 0.504 1
Bi5 0.448 0.446 0.291 1
Bi6 0.490 0.125 0.922 1
Bi7 0.623 0.926 0.582 1
Bi8 0.641 0.604 0.945 1
Bi9 0.815 0.104 0.318 1
Bi10 0.870 0.516 0.657 1
Bi11 0.958 0.791 0.463 1
P1 0.152 0.295 0.799 1
O1 0.137 0.260 0.609 1
O2 0.143 0.745 0.807 1
O3 0.148 0.128 0.820 1
O4 0.152 0.298 0.208 1
O5 0.266 0.040 0.166 1
O6 0.334 0.469 0.960 1
O7 0.389 0.952 0.642 1
O8 0.393 0.666 0.367 1
O9 0.521 0.418 0.538 1
O10 0.537 0.932 0.060 1
O11 0.540 0.059 0.436 1
O12 0.557 0.315 0.806 1
O13 0.752 0.900 0.398 1
O14 0.771 0.576 0.175 1
O15 0.775 0.680 0.549 1
O16 0.779 0.182 0.033 1
O17 0.886 0.666 0.912 1
O18 0.917 0.948 0.189 1
O19 0.983 0.318 0.799 1
O20 0.987 0.529 0.421 1
```